[1]
Simulated powder X-ray diffraction pattern
Compound: Mg2Ta4O9
Radiation: Cu Ka
Structure: DFT lattice parameters and positions (GGA-PBE)

Structure:
abc: 5.2752 5.2752 14.0897
angles: 90.00 90.00 120.00
Fractional positions:
Mg 0.0000 0.0000 0.1514
Mg 0.0000 0.0000 0.3486
Mg 0.0000 0.0000 0.6514
Mg 0.0000 0.0000 0.8486
Ta 0.3333 0.6667 0.0090
Ta 0.3333 0.6667 0.3202
Ta 0.3333 0.6667 0.5090
Ta 0.3333 0.6667 0.8202
Ta 0.6667 0.3333 0.1798
Ta 0.6667 0.3333 0.4910
Ta 0.6667 0.3333 0.6798
Ta 0.6667 0.3333 0.9910
O 0.0000 0.3141 0.2500
O 0.0000 0.6859 0.7500
O 0.0104 0.3417 0.9118
O 0.0104 0.6687 0.4118
O 0.3141 0.0000 0.2500
O 0.3141 0.3141 0.7500
O 0.3313 0.3417 0.4118
O 0.3313 0.9896 0.9118
O 0.3417 0.0104 0.5882
O 0.3417 0.3313 0.0882
O 0.6583 0.6687 0.9118
O 0.6583 0.9896 0.4118
O 0.6687 0.0104 0.0882
O 0.6687 0.6583 0.5882
O 0.6859 0.0000 0.7500
O 0.6859 0.6859 0.2500
O 0.9896 0.3313 0.5882
O 0.9896 0.6583 0.0882

The 6 most intense peaks (2θ = 10–90°), in order of falling intensity:
2θ = 33.99°, I 100; 2θ = 32.09°, I 82; 2θ = 19.43°, I 76; 2θ = 52.15°, I 72; 2θ = 23.21°, I 55; 2θ = 60.83°, I 31

---

[2]
Simulated powder X-ray diffraction pattern
Compound: Mg4Ta2O9
Radiation: Cu Ka
Structure: DFT lattice parameters and positions (GGA-PBE)

Structure:
abc: 5.2120 5.2120 14.1867
angles: 90.00 90.00 120.00
Fractional positions:
Mg 0.3333 0.6667 0.0165
Mg 0.3333 0.6667 0.3089
Mg 0.3333 0.6667 0.5165
Mg 0.3333 0.6667 0.8089
Mg 0.6667 0.3333 0.1911
Mg 0.6667 0.3333 0.4835
Mg 0.6667 0.3333 0.6911
Mg 0.6667 0.3333 0.9835
Ta 0.0000 0.0000 0.1429
Ta 0.0000 0.0000 0.3571
Ta 0.0000 0.0000 0.6429
Ta 0.0000 0.0000 0.8571
O 0.0000 0.2881 0.2500
O 0.0000 0.7119 0.7500
O 0.0288 0.3459 0.9153
O 0.0288 0.6829 0.4153
O 0.2881 0.0000 0.2500
O 0.2881 0.2881 0.7500
O 0.3171 0.3459 0.4153
O 0.3171 0.9712 0.9153
O 0.3459 0.0288 0.5847
O 0.3459 0.3171 0.0847
O 0.6541 0.6829 0.9153
O 0.6541 0.9712 0.4153
O 0.6829 0.0288 0.0847
O 0.6829 0.6541 0.5847
O 0.7119 0.0000 0.7500
O 0.7119 0.7119 0.2500
O 0.9712 0.3171 0.5847
O 0.9712 0.6541 0.0847

The 6 most intense peaks (2θ = 10–90°), in order of falling intensity:
2θ = 19.67°, I 100; 2θ = 32.10°, I 72; 2θ = 34.41°, I 38; 2θ = 47.77°, I 27; 2θ = 60.19°, I 27; 2θ = 52.24°, I 20

---

[3]
Simulated powder X-ray diffraction pattern
Compound: Mg2Ta2TiO8
Radiation: Cu Ka
Structure: DFT lattice parameters and positions (GGA-PBE)

Structure:
abc: 10.0371 10.0371 5.2307
angles: 90.08 90.08 34.80
Fractional positions:
Mg 0.0803 0.3696 0.2389
Mg 0.3696 0.0803 0.7389
Mg 0.6304 0.9197 0.2611
Mg 0.9197 0.6304 0.7611
Ta 0.2298 0.5365 0.2562
Ta 0.4635 0.7702 0.2438
Ta 0.5365 0.2298 0.7562
Ta 0.7702 0.4635 0.7438
Ti 0.1260 0.8740 0.7500
Ti 0.8740 0.1260 0.2500
O 0.0443 0.3400 0.8714
O 0.0726 0.8109 0.4101
O 0.1891 0.9274 0.0899
O 0.2144 0.4163 0.5567
O 0.3081 0.5508 0.9188
O 0.3400 0.0443 0.3714
O 0.4163 0.2144 0.0567
O 0.4492 0.6919 0.5812
O 0.5508 0.3081 0.4188
O 0.5837 0.7856 0.9433
O 0.6600 0.9557 0.6286
O 0.6919 0.4492 0.0812
O 0.7856 0.5837 0.4433
O 0.8109 0.0726 0.9101
O 0.9274 0.1891 0.5899
O 0.9557 0.6600 0.1286

The 6 most intense peaks (2θ = 10–90°), in order of falling intensity:
2θ = 32.59°, I 100; 2θ = 23.02°, I 89; 2θ = 18.53°, I 73; 2θ = 26.56°, I 73; 2θ = 34.45°, I 63; 2θ = 51.88°, I 54

---

[4]
Simulated powder X-ray diffraction pattern
Compound: Mg2TaTiO6
Radiation: Cu Ka
Structure: DFT lattice parameters and positions (GGA-PBE)

Structure:
abc: 5.2140 7.6338 5.4052
angles: 90.00 90.11 90.00
Fractional positions:
Mg 0.0054 0.2500 0.4578
Mg 0.4864 0.2500 0.9349
Mg 0.5136 0.7500 0.0651
Mg 0.9946 0.7500 0.5422
Ta 0.0000 0.0000 0.0000
Ta 0.0000 0.5000 0.0000
Ti 0.5000 0.0000 0.5000
Ti 0.5000 0.5000 0.5000
O 0.1334 0.7500 0.9399
O 0.1764 0.0684 0.6892
O 0.1764 0.4316 0.6892
O 0.3170 0.0687 0.1836
O 0.3170 0.4313 0.1836
O 0.3742 0.7500 0.4361
O 0.6258 0.2500 0.5639
O 0.6830 0.5687 0.8164
O 0.6830 0.9313 0.8164
O 0.8236 0.5684 0.3108
O 0.8236 0.9316 0.3108
O 0.8666 0.2500 0.0601

The 6 most intense peaks (2θ = 10–90°), in order of falling intensity:
2θ = 33.49°, I 100; 2θ = 23.71°, I 71; 2θ = 16.40°, I 38; 2θ = 17.01°, I 36; 2θ = 23.31°, I 36; 2θ = 61.04°, I 27

---

[5]
Simulated powder X-ray diffraction pattern
Compound: Tb2MgTiO6
Radiation: Cu Ka
Structure: DFT lattice parameters and positions (GGA-PBE)

Structure:
abc: 5.3563 5.6512 9.3762
angles: 90.00 124.41 90.00
Fractional positions:
Tb 0.2285 0.0649 0.2469
Tb 0.2285 0.4351 0.7469
Tb 0.7715 0.5649 0.2531
Tb 0.7715 0.9351 0.7531
Mg 0.0000 0.0000 0.5000
Mg 0.0000 0.5000 0.0000
Ti 0.5000 0.0000 0.0000
Ti 0.5000 0.5000 0.5000
O 0.1487 0.1899 0.9465
O 0.1487 0.3101 0.4465
O 0.2491 0.7067 0.9373
O 0.2491 0.7933 0.4373
O 0.3695 0.0423 0.7572
O 0.3695 0.4577 0.2572
O 0.6305 0.5423 0.7428
O 0.6305 0.9577 0.2428
O 0.7509 0.2067 0.5627
O 0.7509 0.2933 0.0627
O 0.8513 0.6899 0.5535
O 0.8513 0.8101 0.0535

The 6 most intense peaks (2θ = 10–90°), in order of falling intensity:
2θ = 32.57°, I 100; 2θ = 32.75°, I 100; 2θ = 22.88°, I 83; 2θ = 22.99°, I 54; 2θ = 52.86°, I 50; 2θ = 33.46°, I 48

---

[6]
Simulated powder X-ray diffraction pattern
Compound: Mg2TcO4
Radiation: Cu Ka
Structure: DFT lattice parameters and positions (GGA-PBE)

Structure:
abc: 6.1077 6.1077 6.1077
angles: 120.56 119.32 90.11
Fractional positions:
Mg 0.0000 0.0000 0.5000
Mg 0.0000 0.5000 0.0000
Mg 0.3872 0.1372 0.2500
Mg 0.6128 0.8628 0.7500
Tc 0.0000 0.5000 0.5000
Tc 0.5000 0.5000 0.0000
O 0.2171 0.7348 0.4824
O 0.2468 0.2688 0.5219
O 0.2468 0.7249 0.9781
O 0.2476 0.2652 0.9824
O 0.7524 0.7348 0.0176
O 0.7532 0.2751 0.0219
O 0.7532 0.7312 0.4781
O 0.7829 0.2652 0.5176

The 6 most intense peaks (2θ = 10–90°), in order of falling intensity:
2θ = 17.89°, I 100; 2θ = 34.24°, I 61; 2θ = 41.82°, I 51; 2θ = 34.53°, I 39; 2θ = 60.65°, I 34; 2θ = 20.58°, I 21

---

[7]
Simulated powder X-ray diffraction pattern
Compound: Mg2Te3O9
Radiation: Cu Ka
Structure: DFT lattice parameters and positions (GGA-PBE)

Structure:
abc: 9.1841 7.2588 12.5930
angles: 90.00 121.95 90.00
Fractional positions:
Mg 0.0952 0.1230 0.1377
Mg 0.0952 0.3770 0.6377
Mg 0.1045 0.6309 0.1409
Mg 0.1045 0.8691 0.6409
Mg 0.8955 0.1309 0.3591
Mg 0.8955 0.3691 0.8591
Mg 0.9048 0.6230 0.3623
Mg 0.9048 0.8770 0.8623
Te 0.2603 0.6191 0.9285
Te 0.2603 0.8809 0.4285
Te 0.2768 0.1148 0.9405
Te 0.2768 0.3852 0.4405
Te 0.4956 0.1269 0.7485
Te 0.4956 0.3731 0.2485
Te 0.5044 0.6269 0.7515
Te 0.5044 0.8731 0.2515
Te 0.7232 0.6148 0.5595
Te 0.7232 0.8852 0.0595
Te 0.7397 0.1191 0.5715
Te 0.7397 0.3809 0.0715
O 0.0823 0.1119 0.9581
O 0.0823 0.3881 0.4581
O 0.0826 0.6405 0.9663
O 0.0826 0.8595 0.4663
O 0.1375 0.0876 0.3227
O 0.1375 0.4124 0.8227
O 0.1730 0.6555 0.3297
O 0.1730 0.8445 0.8297
O 0.2615 0.1335 0.7052
O 0.2615 0.3665 0.2052
O 0.2724 0.6135 0.7079
O 0.2724 0.8865 0.2079
O 0.4169 0.1917 0.5743
O 0.4169 0.3083 0.0743
O 0.4306 0.5664 0.5749
O 0.4306 0.9336 0.0749
O 0.4593 0.6239 0.1856
O 0.4593 0.8761 0.6856
O 0.5407 0.1239 0.3144
O 0.5407 0.3761 0.8144
O 0.5694 0.0664 0.9251
O 0.5694 0.4336 0.4251
O 0.5831 0.6917 0.9257
O 0.5831 0.8083 0.4257
O 0.7276 0.1135 0.7921
O 0.7276 0.3865 0.2921
O 0.7385 0.6335 0.7948
O 0.7385 0.8665 0.2948
O 0.8270 0.1555 0.1703
O 0.8270 0.3445 0.6703
O 0.8625 0.5876 0.1773
O 0.8625 0.9124 0.6773
O 0.9174 0.1405 0.5337
O 0.9174 0.3595 0.0337
O 0.9177 0.6119 0.5419
O 0.9177 0.8881 0.0419

The 6 most intense peaks (2θ = 10–90°), in order of falling intensity:
2θ = 30.15°, I 100; 2θ = 29.21°, I 58; 2θ = 29.04°, I 55; 2θ = 49.71°, I 50; 2θ = 34.06°, I 44; 2θ = 19.87°, I 42

---

[8]
Simulated powder X-ray diffraction pattern
Compound: MgTeO4
Radiation: Cu Ka
Structure: DFT lattice parameters and positions (GGA-PBE)

Structure:
abc: 4.7575 5.6666 5.1070
angles: 90.00 93.50 90.00
Fractional positions:
Mg 0.0000 0.1553 0.2500
Mg 0.0000 0.8447 0.7500
Te 0.5000 0.3336 0.7500
Te 0.5000 0.6664 0.2500
O 0.2396 0.1214 0.5948
O 0.2396 0.8786 0.0948
O 0.2810 0.3956 0.0653
O 0.2810 0.6044 0.5653
O 0.7190 0.3956 0.4347
O 0.7190 0.6044 0.9347
O 0.7604 0.1214 0.9052
O 0.7604 0.8786 0.4052

The 6 most intense peaks (2θ = 10–90°), in order of falling intensity:
2θ = 29.48°, I 100; 2θ = 18.69°, I 99; 2θ = 23.47°, I 91; 2θ = 30.85°, I 87; 2θ = 24.46°, I 71; 2θ = 54.34°, I 46

---

[9]
Simulated powder X-ray diffraction pattern
Compound: MgTe2O7
Radiation: Cu Ka
Structure: DFT lattice parameters and positions (GGA-PBE)

Structure:
abc: 6.8474 6.6068 7.8587
angles: 90.00 112.02 90.00
Fractional positions:
Mg 0.0612 0.0000 0.1471
Mg 0.9388 0.5000 0.8529
Te 0.0750 0.5069 0.3199
Te 0.4173 0.5845 0.7710
Te 0.5827 0.0845 0.2290
Te 0.9250 0.0069 0.6801
O 0.0329 0.6580 0.1074
O 0.1470 0.9952 0.6106
O 0.1774 0.2654 0.2744
O 0.1782 0.4573 0.7678
O 0.3190 0.6367 0.5002
O 0.3639 0.9136 0.2078
O 0.4880 0.8118 0.9061
O 0.5120 0.3118 0.0939
O 0.6361 0.4136 0.7922
O 0.6810 0.1367 0.4998
O 0.8218 0.9573 0.2322
O 0.8226 0.7654 0.7256
O 0.8530 0.4952 0.3894
O 0.9671 0.1580 0.8926

The 6 most intense peaks (2θ = 10–90°), in order of falling intensity:
2θ = 19.92°, I 100; 2θ = 25.63°, I 34; 2θ = 24.44°, I 32; 2θ = 26.99°, I 28; 2θ = 19.39°, I 27; 2θ = 26.08°, I 26